# LaGd3
Simulated XRD peak list, Cu Kα X-rays. Input: a structure optimized by DFT (PBE).
Peak positions follow from Bragg's law for the DFT cell and can differ from measured ones.

Structural model:
Cell: 5.141 5.141 10.275 Å, 90.00 90.00 90.00°
Fractional coordinates of all 8 atoms:
La: 0.000 0.000 0.000
La: 0.500 0.500 0.500
Gd: 0.000 0.000 0.500
Gd: 0.000 0.500 0.250
Gd: 0.000 0.500 0.750
Gd: 0.500 0.000 0.250
Gd: 0.500 0.000 0.750
Gd: 0.500 0.500 0.000

Largest 6 diffraction maxima, sorted by position, 2θ from 10° to 80°:
Position (°2θ)  d_spacing  Rel. int.  hkl
30.12  2.967  100  1 1 2
34.91  2.570  51  2 0 0
50.20  1.817  36  2 2 0
59.66  1.550  43  3 1 2
62.61  1.484  12  2 2 4
73.73  1.285  6  4 0 0